# 1
The following is a simulated powder diffraction line list of LiMnPO4. It was derived from a GGA+U-relaxed structure, using Cu Kα, 1.54184 Å.
Peak positions follow from Bragg's law for the DFT cell and can differ from measured ones.

Structure:
a b c (Å): 5.013 5.517 6.716
angles (deg): 102.72 90.08 116.85
Fractional coordinates of all 14 atoms:
Li 0.000 0.000 0.000
Li 0.030 0.003 0.493
Mn 0.322 0.714 0.266
Mn 0.607 0.286 0.721
P 0.281 0.646 0.763
P 0.638 0.356 0.224
O 0.046 0.332 0.669
O 0.181 0.732 0.973
O 0.270 0.832 0.618
O 0.442 0.173 0.369
O 0.452 0.270 0.014
O 0.606 0.684 0.783
O 0.720 0.672 0.315
O 0.925 0.316 0.205

Largest 10 diffraction maxima, in order of rising 2θ, 10 to 90 degrees two-theta:
2θ = 18.6°, rel. 29, (0 1 0)
2θ = 20.0°, rel. 100, (1 -1 0)
2θ = 27.4°, rel. 63, (0 0 2)
2θ = 29.1°, rel. 39, (0 1 -2)
2θ = 33.3°, rel. 36, (1 1 0)
2θ = 33.4°, rel. 27, (1 -2 0)
2θ = 35.8°, rel. 39, (2 -1 0)
2θ = 36.1°, rel. 21, (1 0 2)
2θ = 37.7°, rel. 32, (0 2 0)
2θ = 45.7°, rel. 22, (-2 1 2)

# 2
The following is a simulated powder diffraction line list of LiMnP2O7. It was derived from a GGA+U-relaxed structure, using Cu Kα, 1.54184 Å.
Peak positions follow from Bragg's law for the DFT cell and can differ from measured ones.

Structure:
a b c (Å): 4.977 6.764 8.179
angles (deg): 92.58 93.63 104.32
Fractional coordinates of all 22 atoms:
Li 0.000 0.000 0.000
Li 0.400 0.569 0.488
Mn 0.437 0.534 0.064
Mn 0.942 0.043 0.564
P 0.075 0.790 0.260
P 0.393 0.875 0.791
P 0.479 0.193 0.333
P 0.802 0.285 0.867
O 0.044 0.307 0.995
O 0.140 0.968 0.760
O 0.260 0.014 0.217
O 0.268 0.643 0.257
O 0.307 0.711 0.914
O 0.325 0.254 0.475
O 0.525 0.817 0.640
O 0.573 0.366 0.219
O 0.612 0.429 0.883
O 0.626 0.052 0.901
O 0.724 0.101 0.378
O 0.843 0.756 0.126
O 0.876 0.276 0.687
O 0.993 0.804 0.438

Largest 10 diffraction maxima, in order of rising 2θ, 10 to 90 degrees two-theta:
2θ = 13.5°, rel. 32, (0 1 0)
2θ = 16.8°, rel. 100, (0 1 -1)
2θ = 17.9°, rel. 58, (0 1 1)
2θ = 22.2°, rel. 39, (1 0 1)
2θ = 23.1°, rel. 42, (1 -1 1)
2θ = 25.6°, rel. 62, (1 1 0)
2θ = 28.8°, rel. 52, (1 1 1)
2θ = 29.3°, rel. 84, (-1 1 2)
2θ = 30.2°, rel. 44, (1 -1 2)
2θ = 37.6°, rel. 32, (1 2 -1)